(1)
# La2Tl3Sn3
Computed PXRD pattern, λ = 1.5418 Å (Cu Kα). Input: a structure optimized by DFT (PBE).
Neutral-atom scattering factors, no anomalous dispersion.

Most intense lines, 10° ≤ 2θ ≤ 80°, low angle first:
d/Å, 2theta, intensity, hkl
2.807, 31.9, 100, 1 1 2
2.441, 36.8, 17, 0 2 0
2.433, 36.9, 17, 2 0 0
2.418, 37.2, 16, 0 0 4
1.723, 53.2, 12, 2 2 0
1.717, 53.4, 24, 2 0 4
1.470, 63.3, 14, 1 3 2
1.467, 63.4, 14, 3 1 2
1.460, 63.7, 14, 1 1 6
1.403, 66.6, 12, 2 2 4

Structural model:
```
data_La2Tl3Sn3
_chemical_formula_sum 'La2 Tl3 Sn3'
_cell_length_a 4.8666
_cell_length_b 4.8813
_cell_length_c 9.6734
_cell_angle_alpha 90.00
_cell_angle_beta 90.00
_cell_angle_gamma 90.00
_space_group_name_H-M_alt 'P m m m'
_space_group_IT_number 47
_space_group_name_Hall '-P 2 2'
loop_
_atom_site_label
_atom_site_fract_x
_atom_site_fract_y
_atom_site_fract_z
La1 0.0000 0.0000 0.2423
Tl1 0.0000 0.5000 0.5000
Tl2 0.5000 0.0000 0.0000
Tl3 0.5000 0.0000 0.5000
Sn1 0.0000 0.5000 0.0000
Sn2 0.5000 0.5000 0.2450
```

(2)
# SrHfO3
Computed PXRD pattern, λ = 1.5418 Å (Cu Kα). Input: a structure optimized by DFT (PBE).
Neutral-atom scattering factors, no anomalous dispersion.

Most intense lines, 10° ≤ 2θ ≤ 80°, low angle first:
d/Å, 2theta, intensity, hkl
4.165, 21.3, 11, 0 0 2
4.088, 21.7, 20, 1 1 0
2.918, 30.6, 100, 1 1 2
2.891, 30.9, 53, 2 0 0
2.083, 43.5, 16, 0 0 4
2.044, 44.3, 27, 2 2 0
1.690, 54.3, 22, 2 0 4
1.674, 54.8, 44, 3 1 2
1.459, 63.8, 18, 2 2 4
1.293, 73.2, 10, 4 2 0

Structural model:
```
data_SrHfO3
_chemical_formula_sum 'Sr4 Hf4 O12'
_cell_length_a 5.7819
_cell_length_b 5.7819
_cell_length_c 8.3305
_cell_angle_alpha 90.00
_cell_angle_beta 90.00
_cell_angle_gamma 90.00
_space_group_name_H-M_alt 'I 4/m c m'
_space_group_IT_number 140
_space_group_name_Hall '-I 4 2c'
loop_
_atom_site_label
_atom_site_fract_x
_atom_site_fract_y
_atom_site_fract_z
Sr1 0.0000 0.5000 0.2500
Hf1 0.0000 0.0000 0.0000
O1 0.0000 0.0000 0.2500
O2 0.1978 0.3022 0.0000
```

(3)
# SrPrGa3O7
Computed PXRD pattern, λ = 1.5418 Å (Cu Kα). Input: a structure optimized by DFT (PBE).
Neutral-atom scattering factors, no anomalous dispersion.

Most intense lines, 10° ≤ 2θ ≤ 80°, low angle first:
d/Å, 2theta, intensity, hkl
3.918, 22.7, 14, 0 2 1
3.232, 27.6, 18, 2 2 1
3.001, 29.8, 100, 3 1 1
2.684, 33.4, 14, 0 0 2
2.563, 35.0, 13, 2 4 0
2.556, 35.1, 12, 4 2 0
1.852, 49.2, 27, 4 2 2
1.846, 49.4, 7, 3 5 1
1.604, 57.5, 15, 3 1 3
1.450, 64.3, 8, 3 7 1

Structural model:
```
data_SrPrGa3O7
_chemical_formula_sum 'Sr4 Pr4 Ga12 O28'
_cell_length_a 11.4205
_cell_length_b 11.4748
_cell_length_c 5.3679
_cell_angle_alpha 90.00
_cell_angle_beta 90.00
_cell_angle_gamma 90.00
_space_group_name_H-M_alt 'C m m 2'
_space_group_IT_number 35
_space_group_name_Hall 'C 2 -2'
loop_
_atom_site_label
_atom_site_fract_x
_atom_site_fract_y
_atom_site_fract_z
Sr1 0.0000 0.1616 0.0000
Pr1 0.1628 0.5000 0.9792
Ga1 0.0000 0.3572 0.4556
Ga2 0.1445 0.0000 0.5244
Ga3 0.2500 0.2500 0.4917
O1 0.0000 0.0000 0.6765
O2 0.0000 0.3697 0.7944
O3 0.0000 0.5000 0.2847
O4 0.1270 0.2919 0.2852
O5 0.1494 0.0000 0.1876
O6 0.2173 0.1236 0.6992
```

(4)
# CaReN3
Computed PXRD pattern, λ = 1.5418 Å (Cu Kα). Input: a structure optimized by DFT (PBE).
Neutral-atom scattering factors, no anomalous dispersion.

Most intense lines, 10° ≤ 2θ ≤ 80°, low angle first:
d/Å, 2theta, intensity, hkl
5.164, 17.2, 51, 2 0 0
3.796, 23.4, 70, 0 2 1
3.586, 24.8, 21, 2 2 0
3.471, 25.7, 100, 2 2 -1
3.254, 27.4, 38, 3 1 0
3.069, 29.1, 22, 2 0 -2
2.929, 30.5, 47, 0 0 2
2.765, 32.4, 34, 2 2 1
2.293, 39.3, 22, 0 4 1
1.932, 47.0, 29, 2 2 -3

Structural model:
```
data_CaReN3
_chemical_formula_sum 'Ca8 Re8 N24'
_cell_length_a 11.0784
_cell_length_b 9.9647
_cell_length_c 6.2852
_cell_angle_alpha 90.00
_cell_angle_beta 111.20
_cell_angle_gamma 90.00
_space_group_name_H-M_alt 'C 1 2/c 1'
_space_group_IT_number 15
_space_group_name_Hall '-C 2yc'
loop_
_atom_site_label
_atom_site_fract_x
_atom_site_fract_y
_atom_site_fract_z
Ca1 0.0000 0.0880 0.2500
Ca2 0.0000 0.2946 0.7500
Re1 0.2094 0.4127 0.2267
N1 0.1187 0.1077 0.6624
N2 0.1333 0.2553 0.1706
N3 0.1512 0.4937 0.9370
```

(5)
# AlPO4
Computed PXRD pattern, λ = 1.5418 Å (Cu Kα). Input: a structure optimized by DFT (PBE).
Neutral-atom scattering factors, no anomalous dispersion.

Most intense lines, 10° ≤ 2θ ≤ 80°, low angle first:
d/Å, 2theta, intensity, hkl
8.756, 10.1, 14, 0 0 1
6.829, 13.0, 26, 0 1 -1
6.333, 14.0, 28, 1 -1 0
5.836, 15.2, 100, 0 1 1
5.029, 17.6, 29, 1 0 1
4.378, 20.3, 15, 0 0 2
3.799, 23.4, 24, 2 1 -1
3.470, 25.7, 16, 2 1 -2
3.321, 26.8, 22, 1 -1 2
2.778, 32.2, 19, 3 0 -2

Structural model:
```
data_AlPO4
_chemical_formula_sum 'Al8 P8 O32'
_cell_length_a 8.6062
_cell_length_b 9.1253
_cell_length_c 9.5153
_cell_angle_alpha 97.05
_cell_angle_beta 111.32
_cell_angle_gamma 93.48
_space_group_name_H-M_alt 'P -1'
_space_group_IT_number 2
_space_group_name_Hall '-P 1'
loop_
_atom_site_label
_atom_site_fract_x
_atom_site_fract_y
_atom_site_fract_z
Al1 0.0045 0.1055 0.4025
Al2 0.1752 0.8297 0.3640
Al3 0.2050 0.3493 0.0404
Al4 0.4258 0.6168 0.0537
P1 0.1210 0.5589 0.2015
P2 0.2263 0.7795 0.7742
P3 0.2530 0.0876 0.2459
P4 0.4740 0.9420 0.6891
O1 0.0178 0.9034 0.4139
O2 0.0256 0.3452 0.8636
O3 0.0759 0.3914 0.1760
O4 0.1007 0.7129 0.6141
O5 0.1588 0.9281 0.8014
O6 0.1823 0.9219 0.2068
O7 0.2001 0.1620 0.3729
O8 0.2142 0.6421 0.3654
O9 0.2287 0.1686 0.1096
O10 0.2472 0.5590 0.1163
O11 0.2748 0.6836 0.8964
O12 0.3657 0.9250 0.5204
O13 0.3941 0.4013 0.0034
O14 0.4126 0.8178 0.7639
O15 0.4586 0.0866 0.7965
O16 0.4871 0.7646 0.2286
```